1.
For NiMoO4, the PBE+U geometry in the Materials Project gives the simulated powder diffraction line list in this record (copper Kα).

Most intense lines, 2θ = 10–90°, low angle first:
- 2θ 24.60, d = 3.619 Å, intensity 30
- 2θ 30.56, d = 2.925 Å, intensity 100
- 2θ 31.10, d = 2.876 Å, intensity 8
- 2θ 36.13, d = 2.486 Å, intensity 29
- 2θ 41.12, d = 2.195 Å, intensity 7
- 2θ 44.23, d = 2.048 Å, intensity 9
- 2θ 51.55, d = 1.773 Å, intensity 14
- 2θ 53.92, d = 1.700 Å, intensity 32
- 2θ 54.04, d = 1.697 Å, intensity 9
- 2θ 61.61, d = 1.505 Å, intensity 14
- 2θ 64.59, d = 1.443 Å, intensity 13
- 2θ 65.00, d = 1.435 Å, intensity 21

Atomic structure:
Lattice parameters (Å, degrees): 4.6574 5.7512 4.9661 90.00 90.12 90.00
Fractional positions:
Ni  0.0000  0.1604  0.2500
Ni  0.0000  0.8396  0.7500
Mo  0.5000  0.3189  0.7500
Mo  0.5000  0.6811  0.2500
O  0.2413  0.1225  0.9037
O  0.2413  0.8775  0.4037
O  0.2798  0.3907  0.4320
O  0.2798  0.6093  0.9320
O  0.7202  0.3907  0.0680
O  0.7202  0.6093  0.5680
O  0.7587  0.1225  0.5963
O  0.7587  0.8775  0.0963

***

2.
For Ni2Mo3O8, the PBE+U geometry in the Materials Project gives the simulated powder diffraction line list in this record (copper Kα).

Most intense lines, 2θ = 10–90°, low angle first:
- 2θ 17.68, d = 5.017 Å, intensity 64
- 2θ 25.00, d = 3.561 Å, intensity 95
- 2θ 32.08, d = 2.790 Å, intensity 37
- 2θ 35.56, d = 2.525 Å, intensity 100
- 2θ 35.79, d = 2.509 Å, intensity 19
- 2θ 36.66, d = 2.452 Å, intensity 80
- 2θ 44.94, d = 2.017 Å, intensity 42
- 2θ 51.31, d = 1.781 Å, intensity 25
- 2θ 55.37, d = 1.659 Å, intensity 36
- 2θ 57.70, d = 1.598 Å, intensity 22
- 2θ 58.74, d = 1.572 Å, intensity 53
- 2θ 63.76, d = 1.460 Å, intensity 34

Atomic structure:
Lattice parameters (Å, degrees): 5.8386 5.8386 10.0344 90.00 90.00 120.00
Fractional positions:
Ni  0.3333  0.6667  0.0000
Ni  0.3333  0.6667  0.4343
Ni  0.6667  0.3333  0.5000
Ni  0.6667  0.3333  0.9343
Mo  0.1461  0.2921  0.6980
Mo  0.1461  0.8539  0.6980
Mo  0.2921  0.1461  0.1980
Mo  0.7079  0.8539  0.6980
Mo  0.8539  0.1461  0.1980
Mo  0.8539  0.7079  0.1980
O  0.0000  0.0000  0.0547
O  0.0000  0.0000  0.5547
O  0.0235  0.5118  0.5811
O  0.1689  0.3378  0.3147
O  0.1689  0.8311  0.3147
O  0.3333  0.6667  0.8014
O  0.3378  0.1689  0.8147
O  0.4882  0.5118  0.5811
O  0.4882  0.9765  0.5811
O  0.5118  0.0235  0.0811
O  0.5118  0.4882  0.0811
O  0.6622  0.8311  0.3147
O  0.6667  0.3333  0.3014
O  0.8311  0.1689  0.8147
O  0.8311  0.6622  0.8147
O  0.9765  0.4882  0.0811

***

3.
For NiMoO4, the PBE+U geometry in the Materials Project gives the simulated powder diffraction line list in this record (copper Kα).

Most intense lines, 2θ = 10–90°, low angle first:
- 2θ 14.08, d = 6.288 Å, intensity 87
- 2θ 24.97, d = 3.566 Å, intensity 52
- 2θ 25.10, d = 3.548 Å, intensity 19
- 2θ 28.39, d = 3.144 Å, intensity 100
- 2θ 32.09, d = 2.789 Å, intensity 51
- 2θ 32.32, d = 2.770 Å, intensity 49
- 2θ 40.58, d = 2.223 Å, intensity 19
- 2θ 43.16, d = 2.096 Å, intensity 50
- 2θ 46.74, d = 1.944 Å, intensity 31
- 2θ 52.47, d = 1.744 Å, intensity 17
- 2θ 56.77, d = 1.622 Å, intensity 17
- 2θ 57.11, d = 1.613 Å, intensity 15

Atomic structure:
Lattice parameters (Å, degrees): 6.5951 6.5951 7.7750 107.56 107.56 84.83
Fractional positions:
Ni  0.1855  0.1855  0.3427
Ni  0.1858  0.8142  0.0000
Ni  0.8142  0.1858  0.0000
Ni  0.8145  0.8145  0.6573
Mo  0.2173  0.2173  0.8618
Mo  0.2167  0.7833  0.5000
Mo  0.7833  0.2167  0.5000
Mo  0.7827  0.7827  0.1382
O  0.1505  0.1505  0.0624
O  0.1496  0.8474  0.2613
O  0.1521  0.1521  0.5870
O  0.1526  0.8504  0.7387
O  0.1823  0.5064  0.4212
O  0.1831  0.4941  0.9218
O  0.4941  0.1831  0.9218
O  0.4936  0.8177  0.5788
O  0.5064  0.1823  0.4212
O  0.5059  0.8169  0.0782
O  0.8169  0.5059  0.0782
O  0.8177  0.4936  0.5788
O  0.8474  0.1496  0.2613
O  0.8479  0.8479  0.4130
O  0.8504  0.1526  0.7387
O  0.8495  0.8495  0.9376

***

4.
For Ni3Mo2SeO11, the PBE+U geometry in the Materials Project gives the simulated powder diffraction line list in this record (copper Kα).

Most intense lines, 2θ = 10–90°, low angle first:
- 2θ 14.10, d = 6.283 Å, intensity 35
- 2θ 18.87, d = 4.702 Å, intensity 29
- 2θ 27.39, d = 3.256 Å, intensity 72
- 2θ 28.41, d = 3.141 Å, intensity 80
- 2θ 29.24, d = 3.055 Å, intensity 100
- 2θ 29.55, d = 3.023 Å, intensity 40
- 2θ 31.19, d = 2.868 Å, intensity 32
- 2θ 32.42, d = 2.761 Å, intensity 82
- 2θ 33.87, d = 2.646 Å, intensity 28
- 2θ 43.01, d = 2.103 Å, intensity 37
- 2θ 43.20, d = 2.094 Å, intensity 35
- 2θ 45.99, d = 1.973 Å, intensity 41

Atomic structure:
Lattice parameters (Å, degrees): 6.5499 6.5528 10.1669 74.07 86.37 84.81
Fractional positions:
Ni  0.0366  0.3048  0.1266
Ni  0.2285  0.6863  0.6138
Ni  0.3321  0.3220  0.8704
Ni  0.6679  0.6780  0.1296
Ni  0.7715  0.3137  0.3862
Ni  0.9634  0.6952  0.8734
Mo  0.1103  0.7083  0.2336
Mo  0.2124  0.2866  0.4994
Mo  0.7876  0.7134  0.5006
Mo  0.8897  0.2917  0.7664
Se  0.4686  0.8554  0.8197
Se  0.5314  0.1446  0.1803
O  0.0116  0.3626  0.9134
O  0.0656  0.9861  0.1910
O  0.0851  0.3440  0.3238
O  0.1251  0.6499  0.4357
O  0.2029  0.0086  0.5569
O  0.2178  0.3521  0.6746
O  0.2827  0.6661  0.8152
O  0.3318  0.9954  0.9152
O  0.3531  0.3082  0.0706
O  0.3731  0.6700  0.1951
O  0.4702  0.3188  0.4435
O  0.5298  0.6812  0.5565
O  0.6269  0.3300  0.8049
O  0.6469  0.6918  0.9294
O  0.6682  0.0046  0.0848
O  0.7173  0.3339  0.1848
O  0.7822  0.6479  0.3254
O  0.7971  0.9914  0.4431
O  0.8749  0.3501  0.5643
O  0.9149  0.6560  0.6762
O  0.9344  0.0139  0.8090
O  0.9884  0.6374  0.0866

***

5.
For Zr9NiMo4O3, the PBE+U geometry in the Materials Project gives the simulated powder diffraction line list in this record (copper Kα).

Most intense lines, 2θ = 10–90°, low angle first:
- 2θ 31.26, d = 2.862 Å, intensity 18
- 2θ 33.03, d = 2.712 Å, intensity 19
- 2θ 35.55, d = 2.526 Å, intensity 15
- 2θ 37.06, d = 2.426 Å, intensity 68
- 2θ 37.59, d = 2.393 Å, intensity 100
- 2θ 39.08, d = 2.305 Å, intensity 40
- 2θ 41.28, d = 2.187 Å, intensity 20
- 2θ 41.45, d = 2.178 Å, intensity 18
- 2θ 62.24, d = 1.492 Å, intensity 21
- 2θ 63.83, d = 1.458 Å, intensity 19
- 2θ 65.02, d = 1.434 Å, intensity 27
- 2θ 65.18, d = 1.431 Å, intensity 21

Atomic structure:
Lattice parameters (Å, degrees): 8.7490 8.7490 8.7139 90.00 90.00 120.00
Fractional positions:
Zr  0.0820  0.5410  0.2500
Zr  0.2041  0.4082  0.5528
Zr  0.2041  0.4082  0.9472
Zr  0.2041  0.7959  0.5528
Zr  0.2041  0.7959  0.9472
Zr  0.4082  0.2041  0.0528
Zr  0.4082  0.2041  0.4472
Zr  0.4590  0.5410  0.2500
Zr  0.4590  0.9180  0.2500
Zr  0.5410  0.0820  0.7500
Zr  0.5410  0.4590  0.7500
Zr  0.5918  0.7959  0.5528
Zr  0.5918  0.7959  0.9472
Zr  0.7959  0.2041  0.0528
Zr  0.7959  0.2041  0.4472
Zr  0.7959  0.5918  0.0528
Zr  0.7959  0.5918  0.4472
Zr  0.9180  0.4590  0.7500
Ni  0.3333  0.6667  0.7500
Ni  0.6667  0.3333  0.2500
Mo  0.0000  0.0000  0.0000
Mo  0.0000  0.0000  0.5000
Mo  0.1085  0.2169  0.2500
Mo  0.1085  0.8915  0.2500
Mo  0.2169  0.1085  0.7500
Mo  0.7831  0.8915  0.2500
Mo  0.8915  0.1085  0.7500
Mo  0.8915  0.7831  0.7500
O  0.0000  0.5000  0.0000
O  0.0000  0.5000  0.5000
O  0.5000  0.0000  0.0000
O  0.5000  0.0000  0.5000
O  0.5000  0.5000  0.0000
O  0.5000  0.5000  0.5000